# 1
Calculated XRD peak list
Compound: DyGa2Pt4
Radiation: Cu Kα (weighted mean of Kα1 and Kα2)
Structure: a crystal structure in Alexandria, relaxed with PBE

The 10 most intense peaks (2θ from 10° to 90°), sorted by position:
2θ = 25.3°, intensity 20; 2θ = 33.2°, intensity 34; 2θ = 36.8°, intensity 43; 2θ = 37.1°, intensity 100; 2θ = 37.2°, intensity 17; 2θ = 39.5°, intensity 14; 2θ = 42.9°, intensity 51; 2θ = 43.2°, intensity 24; 2θ = 44.8°, intensity 38; 2θ = 74.8°, intensity 15

Cell and atoms:
Cell lengths 16.2799, 4.2121, 7.2084 Å; angles 90.00, 90.00, 90.00 degrees
Sites, in units of the cell vectors:
1 Dy 0.1478 0.2500 0.0658
2 Dy 0.3522 0.7500 0.5658
3 Dy 0.6478 0.2500 0.4342
4 Dy 0.8522 0.7500 0.9342
5 Ga 0.0226 0.7500 0.2493
6 Ga 0.1920 0.2500 0.6216
7 Ga 0.3080 0.7500 0.1216
8 Ga 0.4774 0.2500 0.7493
9 Ga 0.5226 0.7500 0.2507
10 Ga 0.6920 0.2500 0.8784
11 Ga 0.8080 0.7500 0.3784
12 Ga 0.9774 0.2500 0.7507
13 Pt 0.0448 0.7500 0.8987
14 Pt 0.0550 0.2500 0.4440
15 Pt 0.1728 0.7500 0.3936
16 Pt 0.2141 0.7500 0.8204
17 Pt 0.2859 0.2500 0.3204
18 Pt 0.3272 0.2500 0.8936
19 Pt 0.4450 0.7500 0.9440
20 Pt 0.4552 0.2500 0.3987
21 Pt 0.5448 0.7500 0.6013
22 Pt 0.5550 0.2500 0.0560
23 Pt 0.6728 0.7500 0.1064
24 Pt 0.7141 0.7500 0.6796
25 Pt 0.7859 0.2500 0.1796
26 Pt 0.8272 0.2500 0.6064
27 Pt 0.9450 0.7500 0.5560
28 Pt 0.9552 0.2500 0.1013

***

# 2
Calculated XRD peak list
Compound: Ac4Hg2Pb3O2
Radiation: Cu Kα (weighted mean of Kα1 and Kα2)
Structure: a crystal structure in Alexandria, relaxed with PBE

The 10 most intense peaks (2θ from 10° to 90°), sorted by position:
2θ = 25.2°, intensity 51; 2θ = 27.0°, intensity 100; 2θ = 29.2°, intensity 81; 2θ = 31.9°, intensity 42; 2θ = 34.9°, intensity 52; 2θ = 38.2°, intensity 27; 2θ = 41.8°, intensity 81; 2θ = 45.5°, intensity 19; 2θ = 49.4°, intensity 20; 2θ = 57.9°, intensity 25

Cell and atoms:
Cell lengths 4.3200, 4.3200, 21.2137 Å; angles 90.00, 90.00, 120.00 degrees
Sites, in units of the cell vectors:
1 Ac 0.3333 0.6667 0.3847
2 Ac 0.3333 0.6667 0.9266
3 Ac 0.6667 0.3333 0.0734
4 Ac 0.6667 0.3333 0.6153
5 Hg 0.3333 0.6667 0.7161
6 Hg 0.6667 0.3333 0.2839
7 Pb 0.0000 0.0000 0.2026
8 Pb 0.0000 0.0000 0.5000
9 Pb 0.0000 0.0000 0.7974
10 O 0.3333 0.6667 0.0432
11 O 0.6667 0.3333 0.9568

***

# 3
Calculated XRD peak list
Compound: Ac3ErSn3
Radiation: Cu Kα (weighted mean of Kα1 and Kα2)
Structure: a crystal structure in Alexandria, relaxed with PBE

The 10 most intense peaks (2θ from 10° to 90°), sorted by position:
2θ = 23.3°, intensity 64; 2θ = 24.3°, intensity 78; 2θ = 24.6°, intensity 35; 2θ = 26.2°, intensity 53; 2θ = 27.8°, intensity 31; 2θ = 30.4°, intensity 98; 2θ = 30.7°, intensity 100; 2θ = 31.0°, intensity 59; 2θ = 44.7°, intensity 42; 2θ = 62.2°, intensity 34

Cell and atoms:
Cell lengths 8.3198, 8.3198, 8.5204 Å; angles 92.54, 92.54, 112.95 degrees
Sites, in units of the cell vectors:
1 Ac 0.1621 0.8379 0.0000
2 Ac 0.2302 0.7698 0.5000
3 Ac 0.3888 0.3888 0.1559
4 Ac 0.6112 0.6112 0.8441
5 Ac 0.7698 0.2302 0.5000
6 Ac 0.8379 0.1621 0.0000
7 Er 0.2342 0.2342 0.6058
8 Er 0.7658 0.7658 0.3942
9 Sn 0.0719 0.0719 0.2912
10 Sn 0.1453 0.4875 0.7968
11 Sn 0.4875 0.1453 0.7968
12 Sn 0.5125 0.8547 0.2032
13 Sn 0.8547 0.5125 0.2032
14 Sn 0.9281 0.9281 0.7088

***

# 4
Calculated XRD peak list
Compound: CeDy4S6
Radiation: Cu Kα (weighted mean of Kα1 and Kα2)
Structure: a crystal structure in Alexandria, relaxed with PBE

The 10 most intense peaks (2θ from 10° to 90°), sorted by position:
2θ = 26.4°, intensity 100; 2θ = 27.5°, intensity 49; 2θ = 27.6°, intensity 32; 2θ = 31.3°, intensity 35; 2θ = 32.3°, intensity 79; 2θ = 33.9°, intensity 56; 2θ = 44.0°, intensity 39; 2θ = 46.0°, intensity 54; 2θ = 46.8°, intensity 29; 2θ = 48.1°, intensity 34

Cell and atoms:
Cell lengths 6.7400, 6.7400, 19.7786 Å; angles 90.00, 90.00, 146.49 degrees
Sites, in units of the cell vectors:
1 Ce 0.1555 0.8445 0.7500
2 Ce 0.8445 0.1555 0.2500
3 Dy 0.0920 0.9080 0.1269
4 Dy 0.0920 0.9080 0.3731
5 Dy 0.3611 0.6389 0.0404
6 Dy 0.3611 0.6389 0.4596
7 Dy 0.6389 0.3611 0.5404
8 Dy 0.6389 0.3611 0.9596
9 Dy 0.9080 0.0920 0.6269
10 Dy 0.9080 0.0920 0.8731
11 S 0.0000 0.0000 0.0000
12 S 0.0000 0.0000 0.5000
13 S 0.1856 0.8144 0.2500
14 S 0.2684 0.7316 0.5892
15 S 0.2684 0.7316 0.9108
16 S 0.4540 0.5460 0.1657
17 S 0.4540 0.5460 0.3343
18 S 0.5460 0.4540 0.6657
19 S 0.5460 0.4540 0.8343
20 S 0.7316 0.2684 0.0892
21 S 0.7316 0.2684 0.4108
22 S 0.8144 0.1856 0.7500

***

# 5
Calculated XRD peak list
Compound: NaCaHg5
Radiation: Cu Kα (weighted mean of Kα1 and Kα2)
Structure: a crystal structure in Alexandria, relaxed with PBE

The 10 most intense peaks (2θ from 10° to 90°), sorted by position:
2θ = 16.6°, intensity 23; 2θ = 19.6°, intensity 46; 2θ = 33.6°, intensity 100; 2θ = 34.0°, intensity 97; 2θ = 38.9°, intensity 67; 2θ = 39.8°, intensity 32; 2θ = 43.9°, intensity 24; 2θ = 56.9°, intensity 45; 2θ = 66.9°, intensity 30; 2θ = 67.5°, intensity 27

Cell and atoms:
Cell lengths 5.6041, 5.6041, 6.4940 Å; angles 90.00, 90.00, 107.84 degrees
Sites, in units of the cell vectors:
1 Na 0.0000 0.0000 0.0000
2 Ca 0.5000 0.5000 0.5000
3 Hg 0.0000 0.5000 0.2540
4 Hg 0.0000 0.5000 0.7460
5 Hg 0.5000 0.0000 0.2540
6 Hg 0.5000 0.0000 0.7460
7 Hg 0.5000 0.5000 0.0000

***

# 6
Calculated XRD peak list
Compound: MgCo2Sn2
Radiation: Cu Kα (weighted mean of Kα1 and Kα2)
Structure: a crystal structure in Alexandria, relaxed with PBE

The 10 most intense peaks (2θ from 10° to 90°), sorted by position:
2θ = 22.5°, intensity 28; 2θ = 28.5°, intensity 19; 2θ = 28.7°, intensity 9; 2θ = 29.4°, intensity 17; 2θ = 41.4°, intensity 26; 2θ = 41.6°, intensity 100; 2θ = 42.6°, intensity 24; 2θ = 60.9°, intensity 16; 2θ = 75.6°, intensity 17; 2θ = 77.3°, intensity 16

Cell and atoms:
Cell lengths 4.2427, 4.3599, 9.3184 Å; angles 90.00, 90.00, 90.00 degrees
Sites, in units of the cell vectors:
1 Mg 0.2500 0.2500 0.1717
2 Mg 0.7500 0.7500 0.8283
3 Co 0.2500 0.7500 0.0100
4 Co 0.2500 0.7500 0.3359
5 Co 0.7500 0.2500 0.6641
6 Co 0.7500 0.2500 0.9900
7 Sn 0.2500 0.2500 0.4911
8 Sn 0.2500 0.2500 0.8347
9 Sn 0.7500 0.7500 0.1653
10 Sn 0.7500 0.7500 0.5089

***

# 7
Calculated XRD peak list
Compound: MgSiOsO6
Radiation: Cu Kα (weighted mean of Kα1 and Kα2)
Structure: a crystal structure in Alexandria, relaxed with PBE

The 10 most intense peaks (2θ from 10° to 90°), sorted by position:
2θ = 19.7°, intensity 65; 2θ = 20.9°, intensity 32; 2θ = 23.1°, intensity 100; 2θ = 28.9°, intensity 64; 2θ = 36.6°, intensity 72; 2θ = 41.9°, intensity 50; 2θ = 43.8°, intensity 24; 2θ = 55.4°, intensity 56; 2θ = 58.3°, intensity 20; 2θ = 65.9°, intensity 34

Cell and atoms:
Cell lengths 4.9095, 4.9095, 9.0117 Å; angles 90.00, 90.00, 120.00 degrees
Sites, in units of the cell vectors:
1 Mg 0.0000 0.0000 0.0000
2 Mg 0.0000 0.0000 0.5000
3 Si 0.3333 0.6667 0.2500
4 Si 0.6667 0.3333 0.7500
5 Os 0.3333 0.6667 0.7500
6 Os 0.6667 0.3333 0.2500
7 O 0.0217 0.3687 0.1389
8 O 0.0217 0.6530 0.3611
9 O 0.3470 0.3687 0.3611
10 O 0.3470 0.9783 0.1389
11 O 0.3687 0.0217 0.6389
12 O 0.3687 0.3470 0.8611
13 O 0.6313 0.6530 0.1389
14 O 0.6313 0.9783 0.3611
15 O 0.6530 0.0217 0.8611
16 O 0.6530 0.6313 0.6389
17 O 0.9783 0.3470 0.6389
18 O 0.9783 0.6313 0.8611

***

# 8
Calculated XRD peak list
Compound: Na2InBi6
Radiation: Cu Kα (weighted mean of Kα1 and Kα2)
Structure: a crystal structure in Alexandria, relaxed with PBE

The 10 most intense peaks (2θ from 10° to 90°), sorted by position:
2θ = 18.6°, intensity 43; 2θ = 26.4°, intensity 42; 2θ = 30.4°, intensity 100; 2θ = 31.5°, intensity 21; 2θ = 32.5°, intensity 63; 2θ = 33.4°, intensity 40; 2θ = 40.7°, intensity 54; 2θ = 43.1°, intensity 24; 2θ = 43.6°, intensity 20; 2θ = 63.6°, intensity 25

Cell and atoms:
Cell lengths 9.6122, 9.6122, 3.3710 Å; angles 90.00, 90.00, 66.48 degrees
Sites, in units of the cell vectors:
1 Na 0.1671 0.1671 0.0018
2 Na 0.8329 0.8329 0.9982
3 In 0.5000 0.5000 0.0000
4 Bi 0.1519 0.8481 0.5000
5 Bi 0.1703 0.4926 0.5003
6 Bi 0.4926 0.1703 0.5003
7 Bi 0.5074 0.8297 0.4997
8 Bi 0.8297 0.5074 0.4997
9 Bi 0.8481 0.1519 0.5000